Structure and computed PXRD pattern of CsCo2S2 (a DFT-relaxed cell (PBE, the Materials Project); copper Kα).
Intensities are scaled so that the largest is 100.

Structure:
a = 3.801 Å, b = 3.801 Å, c = 13.946 Å
α = 90.00°, β = 90.00°, γ = 90.00°
Space group I4/mmm (No. 139)
Asymmetric unit:
Cs 0.000 0.000 0.000 x2
Co 0.000 0.500 0.250 x4
S 0.000 0.000 0.333 x4

The 6 most intense peaks (2θ from 10° to 80°), by intensity:
2theta, Rel. int., h k l
30.37, 100, 1 0 3
35.80, 81, 1 1 2
52.01, 55, 1 1 6
25.55, 49, 0 0 4
24.27, 41, 1 0 1
47.86, 35, 2 0 0